Simulated powder diffractogram
Compound: U2CoP2O22
Radiation: Cu Kα
Structure: a DFT-relaxed cell (GGA+U, the Materials Project)

Atomic structure:
Lattice parameters (Å, degrees): 6.9774 18.2561 9.8084 90.00 134.34 90.00
Fractional coordinates of all 54 atoms:
U 0.0667 0.1970 0.0482
U 0.0667 0.3030 0.5482
U 0.9333 0.6970 0.4518
U 0.9333 0.8030 0.9518
Co 0.5000 0.0000 0.0000
Co 0.5000 0.5000 0.5000
P 0.4306 0.7482 0.9505
P 0.4306 0.7518 0.4505
P 0.5694 0.2482 0.5495
P 0.5694 0.2518 0.0495
O 0.0668 0.2039 0.5493
O 0.0668 0.2961 0.0493
O 0.0692 0.0978 0.0502
O 0.0692 0.4022 0.5502
O 0.2271 0.7016 0.4233
O 0.2271 0.7984 0.9233
O 0.2541 0.5534 0.2930
O 0.2541 0.9466 0.7930
O 0.2811 0.0687 0.8274
O 0.2811 0.4313 0.3274
O 0.2815 0.6996 0.7719
O 0.2815 0.8004 0.2719
O 0.3179 0.5705 0.0169
O 0.3179 0.9295 0.5169
O 0.3625 0.2025 0.0202
O 0.3625 0.2975 0.5202
O 0.3950 0.5076 0.6216
O 0.3950 0.9924 0.1216
O 0.4241 0.1985 0.3730
O 0.4241 0.3015 0.8730
O 0.4627 0.0495 0.5424
O 0.4627 0.4505 0.0424
O 0.5373 0.5495 0.9576
O 0.5373 0.9505 0.4576
O 0.5759 0.6985 0.1270
O 0.5759 0.8015 0.6270
O 0.6050 0.0076 0.8784
O 0.6050 0.4924 0.3784
O 0.6375 0.7025 0.4798
O 0.6375 0.7975 0.9798
O 0.6821 0.0705 0.4831
O 0.6821 0.4295 0.9831
O 0.7185 0.1996 0.7281
O 0.7185 0.3004 0.2281
O 0.7189 0.5687 0.6726
O 0.7189 0.9313 0.1726
O 0.7459 0.0534 0.2070
O 0.7459 0.4466 0.7070
O 0.7729 0.2016 0.0767
O 0.7729 0.2984 0.5767
O 0.9308 0.5978 0.4498
O 0.9308 0.9022 0.9498
O 0.9332 0.7039 0.9507
O 0.9332 0.7961 0.4507

Largest 6 diffraction maxima, low angle first, 2θ = 10–80°:
hkl 0 1 1, d 6.544, I 39.4; hkl 1 3 -1, d 4.589, I 100.0; hkl 1 2 0, d 4.379, I 39.4; hkl 1 2 -2, d 4.320, I 34.2; hkl 2 0 -2, d 3.488, I 38.0; hkl 0 5 1, d 3.237, I 52.2